# CsDyIn2I6
Computed powder XRD pattern, Cu Kα. Input: a structure optimized by DFT (PBE).
Neutral-atom scattering factors, no anomalous dispersion.

Principal peaks in the range 2θ from 10° to 80°, in order of rising 2θ:
| 2theta | Rel. int. | h k l |
| --- | --- | --- |
| 14.0 | 371 | 0 1 -1 |
| 23.4 | 1000 | -2 1 2 |
| 30.9 | 968 | 1 1 1 |
| 35.1 | 308 | 1 2 0 |
| 35.8 | 535 | -3 3 1 |
| 40.5 | 333 | 1 1 -4 |

Cell and atoms:
Unit cell a=8.6871 b=8.6954 c=9.2534 alpha=90.01 beta=117.99 gamma=119.94
Atoms (fractional coordinates):
Cs: 0.0000 0.0000 0.0000
Dy: 0.9724 0.4862 0.4580
In: 0.5928 0.2965 0.8885
In: 0.6227 0.8116 0.4336
I: 0.1042 0.4467 0.2112
I: 0.1109 0.2631 0.6707
I: 0.4076 0.8476 0.6706
I: 0.5545 0.1083 0.2112
I: 0.7646 0.6569 0.2107
I: 0.8234 0.5606 0.6708